The following is a computed powder XRD pattern of NaDyCu. It was derived from a cell relaxed with PBE, using copper Kα.
Peak positions follow from Bragg's law for the DFT cell and can differ from measured ones.

Peak list (10 most intense, 10° ≤ 2θ ≤ 90°, by intensity)
| 2θ (°) | intensity |
| --- | --- |
| 30.3 | 100 |
| 33.5 | 80 |
| 31.5 | 72 |
| 44.3 | 70 |
| 32.0 | 55 |
| 26.5 | 47 |
| 45.6 | 41 |
| 42.0 | 32 |
| 33.2 | 24 |
| 62.0 | 22 |

Atomic structure:
a b c (Å): 4.091 4.091 9.319
angles (deg): 103.08 103.08 87.82
Sites, in units of the cell vectors:
Na1 0.244 0.244 0.000
Na2 0.756 0.756 0.000
Dy1 0.313 0.313 0.625
Dy2 0.687 0.687 0.375
Cu1 0.151 0.151 0.301
Cu2 0.849 0.849 0.699

=====

The following is a computed powder XRD pattern of CeTiSb2O. It was derived from a cell relaxed with PBE, using copper Kα.
Peak positions follow from Bragg's law for the DFT cell and can differ from measured ones.

Peak list (10 most intense, 10° ≤ 2θ ≤ 90°, by intensity)
| 2θ (°) | intensity |
| --- | --- |
| 29.9 | 100 |
| 32.5 | 89 |
| 34.5 | 51 |
| 46.6 | 37 |
| 56.4 | 34 |
| 59.3 | 21 |
| 51.4 | 20 |
| 39.7 | 19 |
| 57.0 | 15 |
| 77.5 | 15 |

Atomic structure:
a b c (Å): 3.895 3.895 13.962
angles (deg): 90.00 90.00 90.00
Sites, in units of the cell vectors:
Ce1 0.250 0.250 0.091
Ce2 0.750 0.750 0.909
Ti1 0.250 0.250 0.571
Ti2 0.750 0.750 0.429
Sb1 0.250 0.250 0.370
Sb2 0.250 0.250 0.775
Sb3 0.750 0.750 0.225
Sb4 0.750 0.750 0.630
O1 0.250 0.750 0.000
O2 0.750 0.250 0.000